Entry 1:
Diffraction record for NaLuOs. The XRD peak list is simulated, not measured: it uses a GGA-PBE-relaxed structure and Cu Kα X-rays.
Neutral-atom scattering factors, no anomalous dispersion.

The 5 most intense peaks (5 to 70 degrees two-theta), by intensity:
h k l  2θ/deg  intensity
2 2 0  38.8  100
1 1 1  23.5  93
3 1 1  45.9  48
3 3 1  61.6  20
4 0 0  56.1  17

Atomic structure:
```
data_NaLuOs
_cell_length_a 6.5623
_cell_length_b 6.5623
_cell_length_c 6.5623
_cell_angle_alpha 90.00
_cell_angle_beta 90.00
_cell_angle_gamma 90.00
_symmetry_space_group_name_H-M 'F -4 3 m'
_symmetry_Int_Tables_number 216
_symmetry_space_group_name_Hall 'F -4 2 3'
loop_
_atom_site_label
_atom_site_type_symbol
_atom_site_fract_x
_atom_site_fract_y
_atom_site_fract_z
Na1 Na 0.0000 0.0000 0.0000
Lu1 Lu 0.0000 0.0000 0.5000
Os1 Os 0.2500 0.2500 0.7500
```


Entry 2:
Diffraction record for Gd3Au2. The XRD peak list is simulated, not measured: it uses a GGA-PBE-relaxed structure and Cu Kα X-rays.
Neutral-atom scattering factors, no anomalous dispersion.

The 10 most intense peaks (5 to 70 degrees two-theta), by intensity:
h k l  2θ/deg  intensity
3 -2 2  32.2  100
2 1 4  37.1  75
2 -1 6  37.4  64
3 0 0  34.6  63
0 0 6  31.4  46
3 -1 1  30.9  45
2 2 3  43.3  26
6 -2 2  64.4  21
3 -2 8  53.0  20
0 1 5  28.5  18

Atomic structure:
```
data_Gd3Au2
_cell_length_a 8.9698
_cell_length_b 8.9698
_cell_length_c 17.1029
_cell_angle_alpha 90.00
_cell_angle_beta 90.00
_cell_angle_gamma 120.00
_symmetry_space_group_name_H-M 'R -3'
_symmetry_Int_Tables_number 148
_symmetry_space_group_name_Hall '-R 3'
loop_
_atom_site_label
_atom_site_type_symbol
_atom_site_fract_x
_atom_site_fract_y
_atom_site_fract_z
Gd1 Gd 0.0000 0.0000 0.0000
Gd2 Gd 0.0000 0.0000 0.2023
Gd3 Gd 0.0071 0.7605 0.5890
Au1 Au 0.0158 0.4034 0.5726
```